No. 1
For Li4Fe3TeO8, a structure optimized by DFT (PBE+U) gives the simulated powder XRD pattern in this record (Cu Kα X-rays).

Lattice parameters (Å, degrees): 4.992 5.995 6.649 92.78 90.48 90.67
Element x y z (fractional)
Li 0.000 0.000 0.000
Li 0.129 0.748 0.477
Li 0.493 0.238 0.996
Li 0.676 0.470 0.466
Fe 0.004 0.483 0.003
Fe 0.173 0.239 0.496
Fe 0.676 0.013 0.459
Te 0.495 0.727 0.927
O 0.001 0.002 0.400
O 0.010 0.471 0.386
O 0.140 0.742 0.916
O 0.168 0.261 0.884
O 0.475 0.234 0.393
O 0.512 0.735 0.312
O 0.660 0.989 0.895
O 0.699 0.480 0.900

Main lines, in order of rising 2θ (2θ = 10–90°):
| d/Å | I (rel.) |
| --- | --- |
| 6.641 | 15.2 |
| 4.558 | 61.7 |
| 4.343 | 70.8 |
| 3.857 | 36.5 |
| 3.811 | 20.4 |
| 3.365 | 25.3 |
| 3.320 | 100.0 |
| 2.581 | 13.6 |
| 2.552 | 44.9 |
| 2.496 | 14.5 |

No. 2
For Li3Fe3TeO8, a structure optimized by DFT (PBE+U) gives the simulated powder XRD pattern in this record (Cu Kα X-rays).

Lattice parameters (Å, degrees): 6.089 6.089 6.104 118.69 118.69 60.44
Element x y z (fractional)
Li 0.000 0.000 0.000
Li 0.000 0.500 0.500
Li 0.500 0.000 0.500
Fe 0.000 0.500 0.000
Fe 0.500 0.000 0.000
Fe 0.500 0.500 0.500
Te 0.000 0.000 0.500
O 0.222 0.222 0.720
O 0.228 0.765 0.720
O 0.235 0.772 0.280
O 0.271 0.271 0.253
O 0.729 0.729 0.747
O 0.765 0.228 0.720
O 0.772 0.235 0.280
O 0.778 0.778 0.280

Main lines, in order of rising 2θ (2θ = 10–90°):
| d/Å | I (rel.) |
| --- | --- |
| 5.020 | 13.2 |
| 4.937 | 100.0 |
| 2.662 | 15.9 |
| 2.623 | 32.1 |
| 2.510 | 12.8 |
| 2.187 | 22.1 |
| 2.162 | 43.8 |
| 1.983 | 10.8 |
| 1.554 | 13.0 |
| 1.522 | 11.9 |

No. 3
For Li4FeTe3O12, a structure optimized by DFT (PBE+U) gives the simulated powder XRD pattern in this record (Cu Kα X-rays).

Lattice parameters (Å, degrees): 5.213 5.490 7.556 86.03 89.88 89.90
Element x y z (fractional)
Li 0.000 0.000 0.000
Li 0.010 0.009 0.547
Li 0.498 0.440 0.984
Li 0.509 0.471 0.544
Fe 0.005 0.434 0.739
Te 0.004 0.421 0.239
Te 0.503 0.916 0.242
Te 0.503 0.918 0.738
O 0.125 0.390 0.997
O 0.180 0.097 0.302
O 0.212 0.727 0.666
O 0.309 0.210 0.674
O 0.325 0.589 0.302
O 0.368 0.898 0.986
O 0.643 0.905 0.488
O 0.677 0.605 0.785
O 0.698 0.224 0.160
O 0.808 0.095 0.787
O 0.817 0.725 0.160
O 0.878 0.404 0.478

Main lines, in order of rising 2θ (2θ = 10–90°):
| d/Å | I (rel.) |
| --- | --- |
| 3.774 | 100.0 |
| 2.738 | 25.7 |
| 2.730 | 12.8 |
| 2.606 | 24.5 |
| 2.144 | 14.0 |
| 1.888 | 12.3 |
| 1.723 | 13.8 |
| 1.719 | 13.6 |
| 1.656 | 13.6 |
| 1.529 | 9.7 |

No. 4
For Li4Ti3Fe3Te2O16, a structure optimized by DFT (PBE+U) gives the simulated powder XRD pattern in this record (Cu Kα X-rays).

Lattice parameters (Å, degrees): 5.960 6.063 10.283 89.92 89.91 61.04
Element x y z (fractional)
Li 0.000 0.000 0.000
Li 0.003 0.002 0.490
Li 0.331 0.334 0.588
Li 0.663 0.676 0.081
Ti 0.183 0.649 0.255
Ti 0.339 0.821 0.766
Ti 0.833 0.824 0.766
Fe 0.172 0.177 0.269
Fe 0.659 0.169 0.270
Fe 0.828 0.341 0.774
Te 0.343 0.311 0.990
Te 0.672 0.664 0.475
O 0.017 0.987 0.184
O 0.022 0.498 0.156
O 0.136 0.722 0.876
O 0.160 0.158 0.890
O 0.311 0.362 0.376
O 0.335 0.842 0.380
O 0.468 0.044 0.127
O 0.475 0.506 0.153
O 0.494 0.523 0.672
O 0.509 0.980 0.668
O 0.658 0.682 0.876
O 0.681 0.156 0.891
O 0.838 0.833 0.386
O 0.847 0.331 0.388
O 0.976 0.526 0.668
O 0.993 0.012 0.675

Main lines, in order of rising 2θ (2θ = 10–90°):
| d/Å | I (rel.) |
| --- | --- |
| 4.714 | 100.0 |
| 4.651 | 93.7 |
| 4.625 | 84.8 |
| 3.659 | 43.1 |
| 2.879 | 54.5 |
| 2.863 | 72.8 |
| 2.625 | 53.5 |
| 2.610 | 61.5 |
| 2.578 | 53.3 |
| 2.569 | 51.1 |

No. 5
For Li4V3Fe3Te2O16, a structure optimized by DFT (PBE+U) gives the simulated powder XRD pattern in this record (Cu Kα X-rays).

Lattice parameters (Å, degrees): 5.946 6.022 10.232 89.49 89.83 61.12
Element x y z (fractional)
Li 0.000 0.000 0.000
Li 0.005 0.006 0.510
Li 0.323 0.340 0.416
Li 0.668 0.682 0.922
V 0.199 0.651 0.742
V 0.339 0.821 0.236
V 0.826 0.836 0.230
Fe 0.159 0.189 0.735
Fe 0.657 0.176 0.730
Fe 0.835 0.346 0.227
Te 0.342 0.315 0.009
Te 0.677 0.671 0.523
O 0.000 0.014 0.325
O 0.014 0.990 0.818
O 0.026 0.500 0.848
O 0.125 0.725 0.127
O 0.169 0.151 0.111
O 0.311 0.357 0.623
O 0.335 0.843 0.622
O 0.471 0.526 0.849
O 0.472 0.051 0.872
O 0.488 0.533 0.329
O 0.518 0.986 0.331
O 0.661 0.678 0.124
O 0.682 0.159 0.110
O 0.838 0.337 0.612
O 0.851 0.828 0.615
O 0.970 0.528 0.338

Main lines, in order of rising 2θ (2θ = 10–90°):
| d/Å | I (rel.) |
| --- | --- |
| 5.116 | 40.5 |
| 4.704 | 60.4 |
| 4.671 | 45.7 |
| 4.640 | 100.0 |
| 4.614 | 40.0 |
| 4.589 | 45.2 |
| 3.648 | 69.6 |
| 2.852 | 89.3 |
| 2.606 | 66.6 |
| 1.609 | 70.4 |

No. 6
For Li4Fe2TeWO12, a structure optimized by DFT (PBE+U) gives the simulated powder XRD pattern in this record (Cu Kα X-rays).

Lattice parameters (Å, degrees): 5.127 5.413 7.475 85.68 89.88 89.97
Element x y z (fractional)
Li 0.000 0.000 0.000
Li 0.006 0.007 0.504
Li 0.505 0.511 0.004
Li 0.513 0.505 0.499
Fe 0.005 0.580 0.786
Fe 0.506 0.076 0.288
Te 0.504 0.084 0.791
W 0.007 0.576 0.287
O 0.124 0.601 0.045
O 0.185 0.916 0.736
O 0.197 0.283 0.357
O 0.307 0.779 0.357
O 0.333 0.406 0.734
O 0.374 0.107 0.036
O 0.638 0.107 0.549
O 0.689 0.411 0.242
O 0.696 0.790 0.870
O 0.801 0.282 0.869
O 0.828 0.904 0.244
O 0.889 0.603 0.540

Main lines, in order of rising 2θ (2θ = 10–90°):
| d/Å | I (rel.) |
| --- | --- |
| 4.537 | 10.1 |
| 4.224 | 25.2 |
| 3.720 | 100.0 |
| 2.701 | 37.8 |
| 2.565 | 24.3 |
| 2.234 | 10.2 |
| 1.859 | 12.2 |
| 1.701 | 13.9 |
| 1.698 | 13.5 |
| 1.505 | 9.5 |

No. 7
For Li2TiFe2O5, a structure optimized by DFT (PBE+U) gives the simulated powder XRD pattern in this record (Cu Kα X-rays).

Lattice parameters (Å, degrees): 7.982 7.982 5.136 95.75 95.75 142.44
Element x y z (fractional)
Li 0.053 0.947 0.500
Li 0.253 0.754 0.502
Li 0.754 0.253 0.002
Li 0.947 0.053 0.000
Ti 0.155 0.862 0.002
Ti 0.862 0.155 0.502
Fe 0.351 0.657 0.005
Fe 0.455 0.548 0.498
Fe 0.548 0.455 0.998
Fe 0.657 0.351 0.505
O 0.003 0.501 0.751
O 0.088 0.390 0.267
O 0.186 0.297 0.746
O 0.297 0.186 0.246
O 0.390 0.088 0.767
O 0.501 0.003 0.251
O 0.614 0.908 0.730
O 0.718 0.834 0.266
O 0.834 0.718 0.766
O 0.908 0.614 0.230

Main lines, in order of rising 2θ (2θ = 10–90°):
| d/Å | I (rel.) |
| --- | --- |
| 4.647 | 34.3 |
| 4.011 | 38.7 |
| 3.778 | 15.4 |
| 2.988 | 17.0 |
| 2.957 | 15.5 |
| 2.443 | 42.2 |
| 2.135 | 100.0 |
| 2.080 | 45.8 |
| 1.508 | 13.9 |
| 1.490 | 52.0 |

No. 8
For Li2TiFe3O8, a structure optimized by DFT (PBE+U) gives the simulated powder XRD pattern in this record (Cu Kα X-rays).

Lattice parameters (Å, degrees): 5.987 6.048 8.387 89.95 89.92 88.41
Element x y z (fractional)
Li 0.000 0.000 0.000
Li 0.010 0.501 0.762
Li 0.498 0.497 0.499
Li 0.512 0.002 0.263
Ti 0.255 0.510 0.130
Ti 0.760 0.009 0.633
Fe 0.002 0.749 0.383
Fe 0.007 0.249 0.379
Fe 0.257 0.996 0.631
Fe 0.502 0.249 0.883
Fe 0.508 0.749 0.879
Fe 0.753 0.495 0.132
O 0.000 0.284 0.135
O 0.012 0.217 0.627
O 0.017 0.730 0.140
O 0.229 0.493 0.365
O 0.236 0.994 0.403
O 0.277 0.002 0.860
O 0.279 0.507 0.896
O 0.491 0.272 0.123
O 0.502 0.783 0.635
O 0.509 0.717 0.127
O 0.518 0.229 0.640
O 0.731 0.993 0.866
O 0.735 0.494 0.903
O 0.775 0.502 0.360
O 0.781 0.008 0.397
O 0.994 0.772 0.624

Main lines, in order of rising 2θ (2θ = 10–90°):
| d/Å | I (rel.) |
| --- | --- |
| 4.904 | 96.9 |
| 4.871 | 100.0 |
| 2.595 | 17.1 |
| 2.580 | 16.8 |
| 2.541 | 30.7 |
| 2.532 | 30.8 |
| 2.157 | 40.0 |
| 2.097 | 72.2 |
| 1.616 | 11.9 |
| 1.483 | 21.4 |

No. 9
For Li2TiFe2O5, a structure optimized by DFT (PBE+U) gives the simulated powder XRD pattern in this record (Cu Kα X-rays).

Lattice parameters (Å, degrees): 4.211 5.041 9.504 91.54 90.02 114.68
Element x y z (fractional)
Li 0.096 0.192 0.295
Li 0.300 0.599 0.898
Li 0.700 0.401 0.102
Li 0.904 0.808 0.705
Ti 0.393 0.789 0.191
Ti 0.607 0.211 0.809
Fe 0.000 0.000 0.000
Fe 0.212 0.426 0.589
Fe 0.500 0.000 0.500
Fe 0.788 0.574 0.411
O 0.000 0.000 0.500
O 0.101 0.203 0.802
O 0.210 0.419 0.101
O 0.299 0.597 0.381
O 0.411 0.823 0.704
O 0.500 0.000 0.000
O 0.589 0.177 0.296
O 0.701 0.403 0.619
O 0.790 0.581 0.899
O 0.899 0.797 0.198

Main lines, in order of rising 2θ (2θ = 10–90°):
| d/Å | I (rel.) |
| --- | --- |
| 4.078 | 91.4 |
| 2.998 | 80.3 |
| 2.425 | 41.8 |
| 2.406 | 39.0 |
| 2.134 | 98.4 |
| 2.106 | 100.0 |
| 2.039 | 86.3 |
| 1.499 | 26.8 |
| 1.483 | 26.7 |
| 1.465 | 50.0 |